Structure and computed powder XRD pattern of NaHgS2 (a crystal structure in Alexandria, relaxed with PBE; copper Kα).
Peak positions follow from Bragg's law for the DFT cell and can differ from measured ones.

Structural model:
```
data_NaHgS2
_chemical_formula_sum 'Na3 Hg3 S6'
_cell_length_a 4.3695
_cell_length_b 4.3695
_cell_length_c 22.2073
_cell_angle_alpha 90.00
_cell_angle_beta 90.00
_cell_angle_gamma 120.00
_space_group_name_H-M_alt 'R -3 m'
_space_group_IT_number 166
_space_group_name_Hall '-R 3 2"'
loop_
_atom_site_label
_atom_site_type_symbol
_atom_site_fract_x
_atom_site_fract_y
_atom_site_fract_z
_atom_site_occupancy
Na1 Na 0.0000 0.0000 0.0000 1
Hg1 Hg 0.0000 0.0000 0.5000 1
S1 S 0.0000 0.0000 0.3962 1
```

The 12 most intense peaks (2θ = 10–90°), most intense first:
hkl  d_spacing  Rel. int.
0 1 2  3.582  100
1 0 1  3.730  99
0 0 3  7.402  60
1 1 0  2.185  38
1 0 4  3.127  33
0 1 8  2.238  32
1 0 10  1.915  25
1 1 9  1.636  20
1 1 6  1.881  19
1 1 3  2.095  19
0 0 6  3.701  18
1 0 7  2.431  17

***

Structure and computed powder XRD pattern of LiUPaSe4 (a crystal structure in Alexandria, relaxed with PBE; copper Kα).
Peak positions follow from Bragg's law for the DFT cell and can differ from measured ones.

Structural model:
```
data_LiUPaSe4
_chemical_formula_sum 'Li4 U4 Pa4 Se16'
_cell_length_a 8.2550
_cell_length_b 8.3443
_cell_length_c 11.7381
_cell_angle_alpha 90.00
_cell_angle_beta 90.00
_cell_angle_gamma 90.00
_space_group_name_H-M_alt 'I m m a'
_space_group_IT_number 74
_space_group_name_Hall '-I 2b 2'
loop_
_atom_site_label
_atom_site_type_symbol
_atom_site_fract_x
_atom_site_fract_y
_atom_site_fract_z
_atom_site_occupancy
Li1 Li 0.0000 0.2500 0.1279 1
U1 U 0.2500 0.2500 0.7500 1
Pa1 Pa 0.0000 0.0000 0.5000 1
Se1 Se 0.0000 0.0081 0.7436 1
Se2 Se 0.2400 0.2500 0.5032 1
```

The 12 most intense peaks (2θ = 10–90°), most intense first:
hkl  d_spacing  Rel. int.
2 2 0  2.934  100
1 0 1  6.776  90
2 2 4  2.075  51
0 1 3  3.544  37
4 4 4  1.312  23
2 1 1  3.529  18
0 4 4  1.700  13
0 4 0  2.086  13
4 0 4  1.688  13
4 4 0  1.467  13
4 0 0  2.064  13
2 3 1  2.264  10

***

Structure and computed powder XRD pattern of Tb3CeIr3 (a crystal structure in Alexandria, relaxed with PBE; copper Kα).
Peak positions follow from Bragg's law for the DFT cell and can differ from measured ones.

Structural model:
```
data_Tb3CeIr3
_chemical_formula_sum 'Tb12 Ce4 Ir12'
_cell_length_a 10.4146
_cell_length_b 9.4709
_cell_length_c 6.8607
_cell_angle_alpha 90.00
_cell_angle_beta 98.15
_cell_angle_gamma 90.00
_space_group_name_H-M_alt 'C 1 2/m 1'
_space_group_IT_number 12
loop_
_space_group_symop_operation_xyz
'x,y,z'
'-x,-y,-z'
'-x,y,-z'
'x,-y,z'
'x+1/2,y+1/2,z'
'-x+1/2,-y+1/2,-z'
'-x+1/2,y+1/2,-z'
'x+1/2,-y+1/2,z'
loop_
_atom_site_label
_atom_site_type_symbol
_atom_site_fract_x
_atom_site_fract_y
_atom_site_fract_z
_atom_site_occupancy
Tb1 Tb 0.0000 0.1887 0.0000 1
Tb2 Tb 0.0000 0.2764 0.5000 1
Tb3 Tb 0.1975 0.5000 0.0202 1
Ce1 Ce 0.2190 0.0000 0.4364 1
Ir1 Ir 0.0582 0.0000 0.7062 1
Ir2 Ir 0.2425 0.2554 0.7615 1
```

The 12 most intense peaks (2θ = 10–90°), most intense first:
hkl  d_spacing  Rel. int.
2 2 -2  2.559  100
2 2 2  2.324  97
0 4 0  2.368  48
1 1 0  6.975  47
4 0 0  2.577  44
3 1 1  2.777  34
1 3 -1  2.802  26
4 2 0  2.264  24
4 4 0  1.744  17
5 3 -1  1.723  16
2 0 -2  3.041  16
0 0 4  1.698  14

***

Structure and computed powder XRD pattern of Dy4Zn5Au6 (a crystal structure in Alexandria, relaxed with PBE; copper Kα).
Peak positions follow from Bragg's law for the DFT cell and can differ from measured ones.

Structural model:
```
data_Dy4Zn5Au6
_chemical_formula_sum 'Dy16 Zn20 Au24'
_cell_length_a 3.9222
_cell_length_b 21.5679
_cell_length_c 14.9077
_cell_angle_alpha 90.00
_cell_angle_beta 90.00
_cell_angle_gamma 90.00
_space_group_name_H-M_alt 'C m c 21'
_space_group_IT_number 36
loop_
_space_group_symop_operation_xyz
'x,y,z'
'-x,-y,z+1/2'
'-x,y,z'
'x,-y,z+1/2'
'x+1/2,y+1/2,z'
'-x+1/2,-y+1/2,z+1/2'
'-x+1/2,y+1/2,z'
'x+1/2,-y+1/2,z+1/2'
loop_
_atom_site_label
_atom_site_type_symbol
_atom_site_fract_x
_atom_site_fract_y
_atom_site_fract_z
_atom_site_occupancy
Dy1 Dy 0.0000 0.0230 0.0000 1
Dy2 Dy 0.0000 0.0519 0.2698 1
Dy3 Dy 0.0000 0.1415 0.7813 1
Dy4 Dy 0.0000 0.1887 0.4395 1
Zn1 Zn 0.0000 0.1717 0.1383 1
Zn2 Zn 0.0000 0.3094 0.1085 1
Zn3 Zn 0.0000 0.3325 0.7746 1
Zn4 Zn 0.0000 0.3628 0.4556 1
Zn5 Zn 0.0000 0.4627 0.1597 1
Au1 Au 0.0000 0.1027 0.5885 1
Au2 Au 0.0000 0.2157 0.9770 1
Au3 Au 0.0000 0.2558 0.2678 1
Au4 Au 0.0000 0.4121 0.6234 1
Au5 Au 0.0000 0.4181 0.9220 1
Au6 Au 0.0000 0.4571 0.3421 1
```

The 12 most intense peaks (2θ = 10–90°), most intense first:
hkl  d_spacing  Rel. int.
1 5 3  2.506  100
2 0 0  1.961  49
1 1 4  2.681  49
1 5 1  2.848  44
1 5 4  2.291  43
1 5 2  2.704  40
1 7 3  2.178  32
1 3 1  3.355  30
0 0 6  2.485  29
0 10 2  2.072  25
1 3 7  1.811  22
1 7 1  2.392  20

***

Structure and computed powder XRD pattern of MnCrCuGeOs (a crystal structure in Alexandria, relaxed with PBE; copper Kα).
Peak positions follow from Bragg's law for the DFT cell and can differ from measured ones.

Structural model:
```
data_MnCrCuGeOs
_chemical_formula_sum 'Mn2 Cr2 Cu2 Ge2 Os2'
_cell_length_a 3.9448
_cell_length_b 3.9270
_cell_length_c 9.3326
_cell_angle_alpha 90.00
_cell_angle_beta 90.00
_cell_angle_gamma 90.00
_space_group_name_H-M_alt 'A m m 2'
_space_group_IT_number 38
loop_
_space_group_symop_operation_xyz
'x,y,z'
'-x,-y,z'
'-x,y,z'
'x,-y,z'
'x,y+1/2,z+1/2'
'-x,-y+1/2,z+1/2'
'-x,y+1/2,z+1/2'
'x,-y+1/2,z+1/2'
loop_
_atom_site_label
_atom_site_type_symbol
_atom_site_fract_x
_atom_site_fract_y
_atom_site_fract_z
_atom_site_occupancy
Mn1 Mn 0.0000 0.0000 0.0000 1
Cr1 Cr 0.5000 0.0000 0.8499 1
Cu1 Cu 0.5000 0.0000 0.5275 1
Ge1 Ge 0.5000 0.0000 0.1756 1
Os1 Os 0.0000 0.0000 0.3385 1
```

The 12 most intense peaks (2θ = 10–90°), most intense first:
hkl  d_spacing  Rel. int.
1 1 3  2.074  100
0 1 1  3.620  37
1 0 2  3.013  31
1 1 1  2.667  25
2 0 0  1.972  22
0 2 0  1.964  22
0 0 2  4.666  21
3 1 3  1.157  14
1 3 3  1.154  14
2 2 0  1.392  14
1 2 2  1.645  11
2 1 1  1.732  10

***

Structure and computed powder XRD pattern of CsKMg6O7 (a crystal structure in Alexandria, relaxed with PBE; copper Kα).
Peak positions follow from Bragg's law for the DFT cell and can differ from measured ones.

Structural model:
```
data_CsKMg6O7
_chemical_formula_sum 'Cs1 K1 Mg6 O7'
_cell_length_a 4.9792
_cell_length_b 4.9792
_cell_length_c 8.0435
_cell_angle_alpha 90.00
_cell_angle_beta 90.00
_cell_angle_gamma 90.00
_space_group_name_H-M_alt 'P 4 m m'
_space_group_IT_number 99
loop_
_space_group_symop_operation_xyz
'x,y,z'
'-y,x,z'
'-x,-y,z'
'y,-x,z'
'-x,y,z'
'y,x,z'
'x,-y,z'
'-y,-x,z'
loop_
_atom_site_label
_atom_site_type_symbol
_atom_site_fract_x
_atom_site_fract_y
_atom_site_fract_z
_atom_site_occupancy
Cs1 Cs 0.0000 0.0000 0.0000 1
K1 K 0.0000 0.0000 0.5914 1
Mg1 Mg 0.0000 0.5000 0.3294 1
Mg2 Mg 0.0000 0.5000 0.8291 1
Mg3 Mg 0.5000 0.5000 0.0879 1
Mg4 Mg 0.5000 0.5000 0.5801 1
O1 O 0.0000 0.0000 0.3072 1
O2 O 0.0000 0.5000 0.0771 1
O3 O 0.0000 0.5000 0.5904 1
O4 O 0.5000 0.5000 0.3335 1
O5 O 0.5000 0.5000 0.8345 1
```

The 12 most intense peaks (2θ = 10–90°), most intense first:
hkl  d_spacing  Rel. int.
2 0 0  2.490  100
1 1 2  2.649  39
0 0 1  8.044  34
1 0 1  4.234  32
2 2 0  1.760  32
1 0 0  4.979  31
1 0 2  3.129  31
1 0 3  2.361  23
2 1 3  1.713  16
1 1 1  3.225  16
2 1 2  1.948  15
3 1 2  1.466  15

***

Structure and computed powder XRD pattern of Sn2BiPb5 (a crystal structure in Alexandria, relaxed with PBE; copper Kα).
Peak positions follow from Bragg's law for the DFT cell and can differ from measured ones.

Structural model:
```
data_Sn2BiPb5
_chemical_formula_sum 'Sn4 Bi2 Pb10'
_cell_length_a 8.3112
_cell_length_b 8.3112
_cell_length_c 7.1240
_cell_angle_alpha 90.00
_cell_angle_beta 90.00
_cell_angle_gamma 90.00
_space_group_name_H-M_alt 'I 4 m m'
_space_group_IT_number 107
_space_group_name_Hall 'I 4 -2'
loop_
_atom_site_label
_atom_site_type_symbol
_atom_site_fract_x
_atom_site_fract_y
_atom_site_fract_z
_atom_site_occupancy
Sn1 Sn 0.0000 0.5000 0.0000 1
Bi1 Bi 0.0000 0.0000 0.4995 1
Pb1 Pb 0.0000 0.0000 0.0003 1
Pb2 Pb 0.2502 0.2502 0.2498 1
```

The 12 most intense peaks (2θ = 10–90°), most intense first:
hkl  d_spacing  Rel. int.
2 0 2  2.704  100
2 2 0  2.938  62
4 2 2  1.648  47
4 0 0  2.078  24
2 2 4  1.523  18
6 4 2  1.097  14
4 0 4  1.352  12
6 2 0  1.314  11
6 0 2  1.291  11
4 4 0  1.469  8
2 0 6  1.142  8
0 0 4  1.781  7

***

Structure and computed powder XRD pattern of Ce3GaRh5 (a crystal structure in Alexandria, relaxed with PBE; copper Kα).
Peak positions follow from Bragg's law for the DFT cell and can differ from measured ones.

Structural model:
```
data_Ce3GaRh5
_chemical_formula_sum 'Ce12 Ga4 Rh20'
_cell_length_a 7.9704
_cell_length_b 7.9704
_cell_length_c 11.1948
_cell_angle_alpha 90.00
_cell_angle_beta 90.00
_cell_angle_gamma 90.00
_space_group_name_H-M_alt 'I 4/m c m'
_space_group_IT_number 140
_space_group_name_Hall '-I 4 2c'
loop_
_atom_site_label
_atom_site_type_symbol
_atom_site_fract_x
_atom_site_fract_y
_atom_site_fract_z
_atom_site_occupancy
Ce1 Ce 0.0000 0.0000 0.2500 1
Ce2 Ce 0.1376 0.3624 0.0000 1
Ga1 Ga 0.0000 0.5000 0.2500 1
Rh1 Rh 0.0000 0.0000 0.0000 1
Rh2 Rh 0.1921 0.3079 0.3604 1
```

The 12 most intense peaks (2θ = 10–90°), most intense first:
hkl  d_spacing  Rel. int.
2 1 3  2.578  100
2 0 4  2.290  60
3 1 0  2.520  56
2 2 0  2.818  53
4 1 3  1.716  25
4 0 2  1.878  21
2 1 5  1.896  18
3 2 1  2.169  16
4 2 4  1.503  15
3 1 2  2.298  11
5 1 4  1.365  10
4 2 0  1.782  10

***

Q: Which formula does entry 3 have?
A: Tb3CeIr3